Starting from a PBE-relaxed structure, the X-ray diffraction stick pattern of Tm3MgPt12 was simulated for Cu Kα (λ = 1.5418 Å).
Lines closer than 0.1° are merged.

Structure:
Lattice parameters (Å, degrees): 4.069 4.069 16.155 90.00 90.00 90.00
Space group P4/mmm (No. 123)
Inequivalent atoms, fractional coordinates:
Tm 0.000 0.000 0.000 x1
Tm 0.000 0.000 0.254 x2
Mg 0.000 0.000 0.500 x1
Pt 0.000 0.500 0.127 x4
Pt 0.000 0.500 0.382 x4
Pt 0.500 0.500 0.000 x1
Pt 0.500 0.500 0.254 x2
Pt 0.500 0.500 0.500 x1

Most intense lines, 10 to 90 degrees two-theta, by angle:
- 21.84 deg, 4.069 Å, intensity 1
- 35.37 deg, 2.538 Å, intensity 1
- 38.41 deg, 2.344 Å, intensity 100
- 44.53 deg, 2.035 Å, intensity 34
- 44.88 deg, 2.019 Å, intensity 16
- 64.80 deg, 1.439 Å, intensity 11
- 65.08 deg, 1.433 Å, intensity 21
- 77.91 deg, 1.226 Å, intensity 26
- 78.43 deg, 1.219 Å, intensity 12
- 82.28 deg, 1.172 Å, intensity 11

Starting from a PBE-relaxed structure, the X-ray diffraction stick pattern of CeScHg6 was simulated for Cu Kα (λ = 1.5418 Å).
Lines closer than 0.1° are merged.

Structure:
Lattice parameters (Å, degrees): 4.722 4.722 8.778 90.00 90.00 90.00
Space group P4/mmm (No. 123)
Inequivalent atoms, fractional coordinates:
Ce 0.000 0.000 0.000 x1
Sc 0.000 0.000 0.500 x1
Hg 0.000 0.500 0.264 x4
Hg 0.500 0.500 0.000 x1
Hg 0.500 0.500 0.500 x1

Most intense lines, 10 to 90 degrees two-theta, by angle:
- 18.79 deg, 4.722 Å, intensity 5
- 33.73 deg, 2.657 Å, intensity 100
- 38.12 deg, 2.361 Å, intensity 37
- 41.13 deg, 2.194 Å, intensity 14
- 55.01 deg, 1.669 Å, intensity 13
- 57.32 deg, 1.607 Å, intensity 21
- 66.10 deg, 1.414 Å, intensity 29
- 70.24 deg, 1.340 Å, intensity 11
- 70.93 deg, 1.329 Å, intensity 11
- 81.55 deg, 1.180 Å, intensity 4

Starting from a PBE-relaxed structure, the X-ray diffraction stick pattern of Li7Pm3Hg4 was simulated for Cu Kα (λ = 1.5418 Å).
Lines closer than 0.1° are merged.

Structure:
Lattice parameters (Å, degrees): 16.314 4.892 9.192 90.00 123.65 90.00
Space group C2/m (No. 12)
Inequivalent atoms, fractional coordinates:
Li 0.000 0.000 0.000 x2
Li 0.005 0.500 0.176 x4
Li 0.142 0.000 0.941 x4
Li 0.159 0.500 0.509 x4
Pm 0.000 0.000 0.500 x2
Pm 0.224 0.500 0.225 x4
Hg 0.135 0.000 0.337 x4
Hg 0.150 0.500 0.797 x4

Most intense lines, 10 to 90 degrees two-theta, by angle:
- 13.04 deg, 6.790 Å, intensity 35
- 23.25 deg, 3.826 Å, intensity 42
- 24.37 deg, 3.653 Å, intensity 73
- 24.49 deg, 3.635 Å, intensity 91
- 32.61 deg, 2.746 Å, intensity 53
- 33.44 deg, 2.679 Å, intensity 35
- 33.66 deg, 2.662 Å, intensity 79
- 34.54 deg, 2.597 Å, intensity 100
- 36.74 deg, 2.446 Å, intensity 54
- 49.94 deg, 1.826 Å, intensity 33

Starting from a PBE-relaxed structure, the X-ray diffraction stick pattern of In5Ga2Hg was simulated for Cu Kα (λ = 1.5418 Å).
Lines closer than 0.1° are merged.

Structure:
Lattice parameters (Å, degrees): 13.537 7.564 3.995 90.00 98.53 90.00
Space group C2/m (No. 12)
Inequivalent atoms, fractional coordinates:
In 0.000 0.000 0.000 x2
In 0.130 0.263 0.517 x8
Ga 0.233 0.000 0.018 x4
Hg 0.000 0.500 0.000 x2

Most intense lines, 10 to 90 degrees two-theta, by angle:
- 32.39 deg, 2.764 Å, intensity 50
- 32.78 deg, 2.732 Å, intensity 100
- 35.83 deg, 2.506 Å, intensity 76
- 37.71 deg, 2.385 Å, intensity 33
- 45.94 deg, 1.976 Å, intensity 21
- 48.12 deg, 1.891 Å, intensity 16
- 55.98 deg, 1.643 Å, intensity 22
- 59.21 deg, 1.561 Å, intensity 16
- 62.70 deg, 1.482 Å, intensity 15
- 68.72 deg, 1.366 Å, intensity 21